# 1
Theoretical powder diffraction line list of ZrAgCO5 for λ = 1.5418 Å (Cu Kα), from the GGA-PBE geometry in Alexandria.
Peak positions follow from Bragg's law for the DFT cell and can differ from measured ones.

Crystal structure
```
data_ZrAgCO5
_space_group_name_H-M_alt 'C 1 2/c 1'
_space_group_IT_number 15
_cell_length_a 7.1458
_cell_length_b 8.3136
_cell_length_c 7.5868
_cell_angle_alpha 90.00
_cell_angle_beta 117.10
_cell_angle_gamma 90.00
loop_
_space_group_symop_operation_xyz
'x,y,z'
'-x,-y,-z'
'-x,y,-z+1/2'
'x,-y,z+1/2'
'x+1/2,y+1/2,z'
'-x+1/2,-y+1/2,-z'
'-x+1/2,y+1/2,-z+1/2'
'x+1/2,-y+1/2,z+1/2'
loop_
_atom_site_label
_atom_site_fract_x
_atom_site_fract_y
_atom_site_fract_z
_atom_site_occupancy
Zr1 0.2500 0.2500 0.0000 1
Ag1 0.0000 0.0943 0.2500 1
C1 0.0000 0.4290 0.2500 1
O1 0.0000 0.1591 0.7500 1
O2 0.0434 0.3199 0.1261 1
O3 0.1734 0.4808 0.8649 1
```

Peak list (12 most intense, 10 to 90 degrees two-theta, in order of rising 2θ)
17.6 deg, rel. 28, (1 1 0); 25.2 deg, rel. 14, (0 2 1); 25.6 deg, rel. 100, (1 1 1); 28.5 deg, rel. 73, (2 0 -2); 34.2 deg, rel. 29, (0 2 2); 35.4 deg, rel. 53, (1 3 -1); 37.0 deg, rel. 16, (1 1 2); 37.4 deg, rel. 17, (1 1 -3); 39.8 deg, rel. 22, (3 1 -1); 51.6 deg, rel. 15, (0 4 2); 52.6 deg, rel. 21, (2 4 0); 55.0 deg, rel. 16, (3 3 -3)

=====

# 2
Theoretical powder diffraction line list of Cs16Au5Br3 for λ = 1.5418 Å (Cu Kα), from the GGA-PBE geometry in Alexandria.
Peak positions follow from Bragg's law for the DFT cell and can differ from measured ones.

Crystal structure
```
data_Cs16Au5Br3
_space_group_name_H-M_alt 'C 1 m 1'
_space_group_IT_number 8
_cell_length_a 18.2565
_cell_length_b 10.5217
_cell_length_c 17.4568
_cell_angle_alpha 90.00
_cell_angle_beta 90.18
_cell_angle_gamma 90.00
loop_
_space_group_symop_operation_xyz
'x,y,z'
'x,-y,z'
'x+1/2,y+1/2,z'
'x+1/2,-y+1/2,z'
loop_
_atom_site_label
_atom_site_fract_x
_atom_site_fract_y
_atom_site_fract_z
_atom_site_occupancy
Cs1 0.0000 0.0000 0.0000 1
Cs2 0.0007 0.5000 0.0074 1
Cs3 0.0851 0.2522 0.5081 1
Cs4 0.1543 0.0000 0.7594 1
Cs5 0.1619 0.5000 0.7729 1
Cs6 0.1652 0.5000 0.2713 1
Cs7 0.1749 0.0000 0.2590 1
Cs8 0.2480 0.2508 0.0035 1
Cs9 0.3330 0.5000 0.5047 1
Cs10 0.3367 0.0000 0.5022 1
Cs11 0.4118 0.2339 0.2576 1
Cs12 0.4205 0.2646 0.7598 1
Au1 0.0806 0.2474 0.8849 1
Au2 0.3298 0.0000 0.1267 1
Au3 0.4975 0.5000 0.6256 1
Au4 0.4991 0.0000 0.3848 1
Br1 0.2514 0.2472 0.3866 1
Br2 0.3328 0.5000 0.8858 1
```

Peak list (12 most intense, 10 to 90 degrees two-theta, in order of rising 2θ)
10.9 deg, rel. 44, (2 0 -1); 14.0 deg, rel. 17, (2 0 -2); 19.7 deg, rel. 19, (3 1 2); 22.0 deg, rel. 100, (2 2 -2); 24.8 deg, rel. 76, (2 2 -3); 28.3 deg, rel. 27, (4 0 4); 30.1 deg, rel. 13, (4 2 -3); 32.3 deg, rel. 41, (2 2 5); 34.1 deg, rel. 69, (0 4 0); 36.7 deg, rel. 14, (2 2 6); 41.4 deg, rel. 14, (0 0 8); 54.7 deg, rel. 22, (6 2 8)

=====

# 3
Theoretical powder diffraction line list of Al2GaCu12 for λ = 1.5418 Å (Cu Kα), from the GGA-PBE geometry in Alexandria.
Peak positions follow from Bragg's law for the DFT cell and can differ from measured ones.

Crystal structure
```
data_Al2GaCu12
_space_group_name_H-M_alt 'P 4/n b m'
_space_group_IT_number 125
_cell_length_a 4.7529
_cell_length_b 4.7529
_cell_length_c 18.3350
_cell_angle_alpha 90.00
_cell_angle_beta 90.00
_cell_angle_gamma 90.00
loop_
_space_group_symop_operation_xyz
'x,y,z'
'-x,-y,-z'
'-y+1/2,x,z'
'y+1/2,-x,-z'
'-x+1/2,-y+1/2,z'
'x+1/2,y+1/2,-z'
'y,-x+1/2,z'
'-y,x+1/2,-z'
'x,-y+1/2,-z'
'-x,y+1/2,z'
'-y+1/2,-x+1/2,-z'
'y+1/2,x+1/2,z'
'-x+1/2,y,-z'
'x+1/2,-y,z'
'y,x,-z'
'-y,-x,z'
loop_
_atom_site_label
_atom_site_fract_x
_atom_site_fract_y
_atom_site_fract_z
_atom_site_occupancy
Al1 0.2500 0.7500 0.2215 1
Ga1 0.2500 0.7500 0.5000 1
Cu1 0.0615 0.5615 0.3864 1
Cu2 0.0738 0.5738 0.0606 1
Cu3 0.2500 0.2500 0.1584 1
Cu4 0.2500 0.2500 0.2876 1
```

Peak list (12 most intense, 10 to 90 degrees two-theta, in order of rising 2θ)
28.3 deg, rel. 100, (1 1 2); 39.2 deg, rel. 63, (2 0 2); 40.7 deg, rel. 63, (2 0 3); 42.8 deg, rel. 80, (2 0 4); 43.8 deg, rel. 89, (1 1 7); 44.5 deg, rel. 74, (0 0 9); 45.2 deg, rel. 96, (2 1 3); 48.5 deg, rel. 43, (2 0 6); 52.0 deg, rel. 29, (2 0 7); 52.4 deg, rel. 58, (2 1 6); 54.6 deg, rel. 50, (2 2 0); 79.2 deg, rel. 29, (3 1 9)

=====

# 4
Theoretical powder diffraction line list of Ac4H8F3 for λ = 1.5418 Å (Cu Kα), from the GGA-PBE geometry in Alexandria.
Peak positions follow from Bragg's law for the DFT cell and can differ from measured ones.

Crystal structure
```
data_Ac4H8F3
_space_group_name_H-M_alt 'F m -3 m'
_space_group_IT_number 225
_space_group_name_Hall '-F 4 2 3'
_cell_length_a 11.7388
_cell_length_b 11.7388
_cell_length_c 11.7388
_cell_angle_alpha 90.00
_cell_angle_beta 90.00
_cell_angle_gamma 90.00
loop_
_atom_site_label
_atom_site_fract_x
_atom_site_fract_y
_atom_site_fract_z
_atom_site_occupancy
Ac1 0.0000 0.0000 0.0000 1
Ac2 0.0000 0.0000 0.5000 1
Ac3 0.0000 0.2500 0.2500 1
H1 0.1293 0.1293 0.1293 1
H2 0.1295 0.1295 0.3705 1
F1 0.0000 0.0000 0.2502 1
```

Peak list (10 most intense, 10 to 90 degrees two-theta, in order of rising 2θ)
26.3 deg, rel. 100, (2 2 2); 30.5 deg, rel. 67, (4 0 0); 43.6 deg, rel. 53, (4 4 0); 51.7 deg, rel. 51, (6 2 2); 54.1 deg, rel. 18, (4 4 4); 63.4 deg, rel. 9, (8 0 0); 69.9 deg, rel. 21, (6 6 2); 71.9 deg, rel. 24, (8 4 0); 80.1 deg, rel. 18, (8 4 4); 86.1 deg, rel. 17, (10 2 2)

=====

# 5
Theoretical powder diffraction line list of Dy2Zn2Hg3 for λ = 1.5418 Å (Cu Kα), from the GGA-PBE geometry in Alexandria.
Peak positions follow from Bragg's law for the DFT cell and can differ from measured ones.

Crystal structure
```
data_Dy2Zn2Hg3
_space_group_name_H-M_alt 'C 1 2/m 1'
_space_group_IT_number 12
_cell_length_a 11.3063
_cell_length_b 4.2287
_cell_length_c 6.7244
_cell_angle_alpha 90.00
_cell_angle_beta 98.51
_cell_angle_gamma 90.00
loop_
_space_group_symop_operation_xyz
'x,y,z'
'-x,-y,-z'
'-x,y,-z'
'x,-y,z'
'x+1/2,y+1/2,z'
'-x+1/2,-y+1/2,-z'
'-x+1/2,y+1/2,-z'
'x+1/2,-y+1/2,z'
loop_
_atom_site_label
_atom_site_fract_x
_atom_site_fract_y
_atom_site_fract_z
_atom_site_occupancy
Dy1 0.1307 0.0000 0.3303 1
Zn1 0.0857 0.5000 0.6385 1
Hg1 0.0000 0.5000 0.0000 1
Hg2 0.1980 0.0000 0.8421 1
```

Peak list (12 most intense, 10 to 90 degrees two-theta, in order of rising 2θ)
13.3 deg, rel. 13, (0 0 1); 32.0 deg, rel. 78, (3 1 0); 32.9 deg, rel. 26, (4 0 -1); 33.3 deg, rel. 33, (2 0 2); 34.3 deg, rel. 100, (1 1 -2); 36.2 deg, rel. 57, (3 1 1); 38.9 deg, rel. 28, (4 0 -2); 42.8 deg, rel. 33, (0 2 0); 53.0 deg, rel. 13, (6 0 1); 55.3 deg, rel. 24, (2 0 -4); 59.2 deg, rel. 18, (4 2 -2); 61.7 deg, rel. 33, (7 1 -1)

=====

# 6
Theoretical powder diffraction line list of LaMgTlH for λ = 1.5418 Å (Cu Kα), from the GGA-PBE geometry in Alexandria.
Peak positions follow from Bragg's law for the DFT cell and can differ from measured ones.

Crystal structure
```
data_LaMgTlH
_space_group_name_H-M_alt 'P 4/n m m'
_space_group_IT_number 129
_cell_length_a 4.5177
_cell_length_b 4.5177
_cell_length_c 8.4530
_cell_angle_alpha 90.00
_cell_angle_beta 90.00
_cell_angle_gamma 90.00
loop_
_space_group_symop_operation_xyz
'x,y,z'
'-x,-y,-z'
'-y+1/2,x,z'
'y+1/2,-x,-z'
'-x+1/2,-y+1/2,z'
'x+1/2,y+1/2,-z'
'y,-x+1/2,z'
'-y,x+1/2,-z'
'x+1/2,-y,-z'
'-x+1/2,y,z'
'-y,-x,-z'
'y,x,z'
'-x,y+1/2,-z'
'x,-y+1/2,z'
'y+1/2,x+1/2,-z'
'-y+1/2,-x+1/2,z'
loop_
_atom_site_label
_atom_site_fract_x
_atom_site_fract_y
_atom_site_fract_z
_atom_site_occupancy
La1 0.2500 0.2500 0.1331 1
Mg1 0.2500 0.7500 0.5000 1
Tl1 0.2500 0.2500 0.7264 1
H1 0.2500 0.7500 0.0000 1
```

Peak list (12 most intense, 10 to 90 degrees two-theta, in order of rising 2θ)
21.0 deg, rel. 32, (0 0 2); 22.3 deg, rel. 32, (1 0 1); 27.9 deg, rel. 100, (1 1 0); 28.9 deg, rel. 73, (1 0 2); 35.2 deg, rel. 62, (1 1 2); 37.6 deg, rel. 65, (1 0 3); 39.9 deg, rel. 54, (2 0 0); 50.0 deg, rel. 32, (2 1 2); 56.0 deg, rel. 42, (2 1 3); 58.3 deg, rel. 19, (1 0 5); 69.4 deg, rel. 26, (3 1 2); 73.0 deg, rel. 20, (2 1 5)

=====

# 7
Theoretical powder diffraction line list of Al2TlAgBr8 for λ = 1.5418 Å (Cu Kα), from the GGA-PBE geometry in Alexandria.
Peak positions follow from Bragg's law for the DFT cell and can differ from measured ones.

Crystal structure
```
data_Al2TlAgBr8
_space_group_name_H-M_alt 'P -3 m 1'
_space_group_IT_number 164
_space_group_name_Hall '-P 3 2"'
_cell_length_a 7.6014
_cell_length_b 7.6014
_cell_length_c 9.3692
_cell_angle_alpha 90.00
_cell_angle_beta 90.00
_cell_angle_gamma 120.00
loop_
_atom_site_label
_atom_site_fract_x
_atom_site_fract_y
_atom_site_fract_z
_atom_site_occupancy
Al1 0.3333 0.6667 0.2130 1
Tl1 0.0000 0.0000 0.0000 1
Ag1 0.0000 0.0000 0.5000 1
Br1 0.1650 0.3299 0.2939 1
Br2 0.3333 0.6667 0.9678 1
```

Peak list (12 most intense, 10 to 90 degrees two-theta, in order of rising 2θ)
13.5 deg, rel. 91, (1 0 0); 16.5 deg, rel. 36, (1 0 1); 23.3 deg, rel. 29, (1 0 2); 23.4 deg, rel. 42, (1 1 0); 25.3 deg, rel. 48, (1 1 1); 28.7 deg, rel. 60, (0 2 1); 30.3 deg, rel. 100, (1 1 2); 33.3 deg, rel. 65, (2 0 2); 45.7 deg, rel. 32, (3 0 2); 47.7 deg, rel. 26, (0 2 4); 47.9 deg, rel. 47, (2 2 0); 56.7 deg, rel. 25, (2 2 3)

=====

# 8
Theoretical powder diffraction line list of ZrIN for λ = 1.5418 Å (Cu Kα), from the GGA-PBE geometry in Alexandria.
Peak positions follow from Bragg's law for the DFT cell and can differ from measured ones.

Crystal structure
```
data_ZrIN
_space_group_name_H-M_alt 'P m m n'
_space_group_IT_number 59
_cell_length_a 3.7715
_cell_length_b 4.1694
_cell_length_c 10.3613
_cell_angle_alpha 90.00
_cell_angle_beta 90.00
_cell_angle_gamma 90.00
loop_
_space_group_symop_operation_xyz
'x,y,z'
'-x,-y,-z'
'-x+1/2,-y+1/2,z'
'x+1/2,y+1/2,-z'
'x+1/2,-y,-z'
'-x+1/2,y,z'
'-x,y+1/2,-z'
'x,-y+1/2,z'
loop_
_atom_site_label
_atom_site_fract_x
_atom_site_fract_y
_atom_site_fract_z
_atom_site_occupancy
Zr1 0.2500 0.2500 0.0823 1
I1 0.2500 0.7500 0.6938 1
N1 0.2500 0.7500 0.0238 1
```

Peak list (12 most intense, 10 to 90 degrees two-theta, in order of rising 2θ)
23.0 deg, rel. 100, (0 1 1); 25.8 deg, rel. 22, (0 0 3); 29.3 deg, rel. 57, (1 0 2); 33.2 deg, rel. 36, (1 1 1); 35.2 deg, rel. 32, (1 0 3); 36.5 deg, rel. 39, (1 1 2); 41.0 deg, rel. 32, (0 1 4); 41.5 deg, rel. 22, (1 1 3); 43.4 deg, rel. 18, (0 2 0); 53.2 deg, rel. 20, (1 2 2); 54.1 deg, rel. 19, (2 1 1); 63.3 deg, rel. 20, (0 2 5)

=====

# 9
Theoretical powder diffraction line list of Mg3HIr4 for λ = 1.5418 Å (Cu Kα), from the GGA-PBE geometry in Alexandria.
Peak positions follow from Bragg's law for the DFT cell and can differ from measured ones.

Crystal structure
```
data_Mg3HIr4
_space_group_name_H-M_alt 'R 3'
_space_group_IT_number 146
_space_group_name_Hall 'R 3'
_cell_length_a 7.4232
_cell_length_b 7.4232
_cell_length_c 6.9988
_cell_angle_alpha 90.00
_cell_angle_beta 90.00
_cell_angle_gamma 120.00
loop_
_atom_site_label
_atom_site_fract_x
_atom_site_fract_y
_atom_site_fract_z
_atom_site_occupancy
Mg1 0.0591 0.2539 0.0000 1
H1 0.0000 0.0000 0.1380 1
Ir1 0.0000 0.0000 0.3742 1
Ir2 0.1448 0.7149 0.3443 1
```

Peak list (12 most intense, 10 to 90 degrees two-theta, in order of rising 2θ)
18.7 deg, rel. 61, (1 0 1); 24.0 deg, rel. 25, (1 1 0); 38.0 deg, rel. 12, (2 0 2); 38.6 deg, rel. 31, (0 0 3); 39.2 deg, rel. 100, (2 1 1); 45.4 deg, rel. 69, (3 -2 2); 65.8 deg, rel. 19, (2 1 4); 66.7 deg, rel. 21, (1 4 0); 78.9 deg, rel. 13, (3 -2 5); 79.8 deg, rel. 25, (1 4 3); 80.2 deg, rel. 13, (6 -4 1); 84.4 deg, rel. 11, (4 2 2)

=====

# 10
Theoretical powder diffraction line list of Ti3Ga4Cu for λ = 1.5418 Å (Cu Kα), from the GGA-PBE geometry in Alexandria.
Peak positions follow from Bragg's law for the DFT cell and can differ from measured ones.

Crystal structure
```
data_Ti3Ga4Cu
_space_group_name_H-M_alt 'P m n 21'
_space_group_IT_number 31
_cell_length_a 9.2539
_cell_length_b 5.6294
_cell_length_c 4.9580
_cell_angle_alpha 90.00
_cell_angle_beta 90.00
_cell_angle_gamma 90.00
loop_
_space_group_symop_operation_xyz
'x,y,z'
'-x+1/2,-y,z+1/2'
'-x,y,z'
'x+1/2,-y,z+1/2'
loop_
_atom_site_label
_atom_site_fract_x
_atom_site_fract_y
_atom_site_fract_z
_atom_site_occupancy
Ti1 0.0000 0.1170 0.0000 1
Ti2 0.2332 0.1139 0.4254 1
Ga1 0.0000 0.3797 0.5115 1
Ga2 0.0000 0.6388 0.9975 1
Ga3 0.2477 0.6303 0.4344 1
Cu1 0.0000 0.8646 0.5311 1
```

Peak list (12 most intense, 10 to 90 degrees two-theta, in order of rising 2θ)
36.2 deg, rel. 31, (0 0 2); 38.9 deg, rel. 32, (4 0 0); 41.3 deg, rel. 13, (2 0 2); 41.7 deg, rel. 100, (2 2 1); 54.2 deg, rel. 18, (4 0 2); 65.5 deg, rel. 7, (0 2 3); 66.4 deg, rel. 6, (0 4 0); 68.9 deg, rel. 11, (2 2 3); 72.4 deg, rel. 17, (6 2 1); 78.1 deg, rel. 6, (0 4 2); 78.9 deg, rel. 6, (4 2 3); 79.8 deg, rel. 7, (4 4 0)

=====

# 11
Theoretical powder diffraction line list of BaNdNi2P2 for λ = 1.5418 Å (Cu Kα), from the GGA-PBE geometry in Alexandria.
Peak positions follow from Bragg's law for the DFT cell and can differ from measured ones.

Crystal structure
```
data_BaNdNi2P2
_space_group_name_H-M_alt 'P -3 m 1'
_space_group_IT_number 164
_space_group_name_Hall '-P 3 2"'
_cell_length_a 3.9937
_cell_length_b 3.9937
_cell_length_c 8.8372
_cell_angle_alpha 90.00
_cell_angle_beta 90.00
_cell_angle_gamma 120.00
loop_
_atom_site_label
_atom_site_fract_x
_atom_site_fract_y
_atom_site_fract_z
_atom_site_occupancy
Ba1 0.0000 0.0000 0.0000 1
Nd1 0.0000 0.0000 0.5000 1
Ni1 0.3333 0.6667 0.7272 1
P1 0.3333 0.6667 0.2755 1
```

Peak list (12 most intense, 10 to 90 degrees two-theta, in order of rising 2θ)
25.8 deg, rel. 22, (1 0 0); 32.9 deg, rel. 100, (0 1 2); 40.8 deg, rel. 13, (0 0 4); 45.4 deg, rel. 32, (1 1 0); 48.9 deg, rel. 10, (1 0 4); 57.2 deg, rel. 20, (2 0 2); 62.7 deg, rel. 21, (1 1 4); 69.3 deg, rel. 9, (0 1 6); 75.9 deg, rel. 17, (1 2 2); 83.9 deg, rel. 5, (3 0 0); 86.5 deg, rel. 4, (2 1 4); 86.9 deg, rel. 5, (2 0 6)